For Cd2Ga2Ge3, DFT lattice parameters and positions (PBE) gives the simulated powder XRD pattern in this record (Cu Kα X-rays).
Intensities are scaled so that the largest is 100.

Atomic structure:
a = 4.7731 Å, b = 4.7731 Å, c = 22.9813 Å
α = 90.00°, β = 90.00°, γ = 120.00°
Space group R3m (No. 160, hexagonal axes)
One atom of each set of equivalent atoms:
Cd (0.0000, 0.0000, 0.0000) [3 per cell]
Cd (0.0000, 0.0000, 0.4840) [3 per cell]
Ga (0.0000, 0.0000, 0.2338) [3 per cell]
Ga (0.0000, 0.0000, 0.7450) [3 per cell]
Ge (0.0000, 0.0000, 0.3632) [3 per cell]
Ge (0.0000, 0.0000, 0.6136) [3 per cell]
Ge (0.0000, 0.0000, 0.8665) [3 per cell]

Principal peaks in the range 10° ≤ 2θ ≤ 90°, in order of rising 2θ:
hkl 0 1 2, 3.890 Å, 2θ = 22.86°, intensity 12
hkl 1 0 4, 3.355 Å, 2θ = 26.57°, intensity 15
hkl 1 0 7, 2.571 Å, 2θ = 34.90°, intensity 11
hkl 1 1 0, 2.387 Å, 2θ = 37.69°, intensity 100
hkl 0 1 8, 2.359 Å, 2θ = 38.15°, intensity 89
hkl 2 0 8, 1.678 Å, 2θ = 54.71°, intensity 30
hkl 3 0 0, 1.378 Å, 2θ = 68.04°, intensity 17
hkl 1 2 8, 1.372 Å, 2θ = 68.35°, intensity 30
hkl 1 0 16, 1.357 Å, 2θ = 69.25°, intensity 11
hkl 2 2 0, 1.193 Å, 2θ = 80.49°, intensity 10

=====

For InCu10, DFT lattice parameters and positions (PBE) gives the simulated powder XRD pattern in this record (Cu Kα X-rays).
Intensities are scaled so that the largest is 100.

Atomic structure:
a = 8.0405 Å, b = 3.5677 Å, c = 30.2440 Å
α = 90.00°, β = 90.10°, γ = 90.00°
Space group C2/m (No. 12)
One atom of each set of equivalent atoms:
In (0.1509, 0.0000, 0.2976) [4 per cell]
Cu (0.0490, 0.0000, 0.0940) [4 per cell]
Cu (0.0498, 0.0000, 0.8254) [4 per cell]
Cu (0.0503, 0.5000, 0.2286) [4 per cell]
Cu (0.0503, 0.5000, 0.9598) [4 per cell]
Cu (0.1473, 0.0000, 0.7444) [4 per cell]
Cu (0.1498, 0.0000, 0.0135) [4 per cell]
Cu (0.1497, 0.5000, 0.1476) [4 per cell]
Cu (0.1510, 0.5000, 0.8796) [4 per cell]
Cu (0.2491, 0.5000, 0.0669) [4 per cell]
Cu (0.2488, 0.5000, 0.7985) [4 per cell]

Principal peaks in the range 10° ≤ 2θ ≤ 90°, in order of rising 2θ:
hkl 1 1 -10, 2.218 Å, 2θ = 40.67°, intensity 28
hkl 1 1 -11, 2.103 Å, 2θ = 43.02°, intensity 100
hkl 3 1 3, 2.095 Å, 2θ = 43.17°, intensity 60
hkl 3 1 4, 2.061 Å, 2θ = 43.93°, intensity 85
hkl 1 1 -12, 1.995 Å, 2θ = 45.47°, intensity 22
hkl 2 0 14, 1.902 Å, 2θ = 47.83°, intensity 21
hkl 4 0 -7, 1.824 Å, 2θ = 50.01°, intensity 29
hkl 2 0 15, 1.801 Å, 2θ = 50.69°, intensity 24
hkl 0 2 0, 1.783 Å, 2θ = 51.24°, intensity 45
hkl 2 0 -22, 1.301 Å, 2θ = 72.67°, intensity 17

=====

For Ta2Sn2OsPd, DFT lattice parameters and positions (PBE) gives the simulated powder XRD pattern in this record (Cu Kα X-rays).
Intensities are scaled so that the largest is 100.

Atomic structure:
a = 6.2425 Å, b = 6.2425 Å, c = 12.4446 Å
α = 90.00°, β = 90.00°, γ = 90.00°
Space group I-42d (No. 122)
One atom of each set of equivalent atoms:
Ta (0.2388, 0.7500, 0.1250) [8 per cell]
Sn (0.2462, 0.2500, 0.6250) [8 per cell]
Os (0.0000, 0.0000, 0.0000) [4 per cell]
Pd (0.0000, 0.0000, 0.5000) [4 per cell]

Principal peaks in the range 10° ≤ 2θ ≤ 90°, in order of rising 2θ:
hkl 1 1 2, 3.600 Å, 2θ = 24.73°, intensity 31
hkl 0 0 4, 3.118 Å, 2θ = 28.63°, intensity 15
hkl 2 0 4, 2.205 Å, 2θ = 40.93°, intensity 100
hkl 3 1 2, 1.882 Å, 2θ = 48.37°, intensity 10
hkl 1 1 6, 1.877 Å, 2θ = 48.49°, intensity 5
hkl 4 0 0, 1.561 Å, 2θ = 59.20°, intensity 11
hkl 0 0 8, 1.556 Å, 2θ = 59.42°, intensity 6
hkl 4 2 4, 1.274 Å, 2θ = 74.50°, intensity 23
hkl 2 2 8, 1.271 Å, 2θ = 74.65°, intensity 12
hkl 4 0 8, 1.102 Å, 2θ = 88.81°, intensity 8

=====

For Na4As2PtAu, DFT lattice parameters and positions (PBE) gives the simulated powder XRD pattern in this record (Cu Kα X-rays).
Intensities are scaled so that the largest is 100.

Atomic structure:
a = 7.0264 Å, b = 8.8507 Å, c = 5.5500 Å
α = 90.00°, β = 90.12°, γ = 90.00°
Space group C2/m (No. 12)
One atom of each set of equivalent atoms:
Na (0.1564, 0.1808, 0.2549) [8 per cell]
As (0.2045, 0.0000, 0.7384) [4 per cell]
Pt (0.0000, 0.5000, 0.5000) [2 per cell]
Au (0.0000, 0.5000, 0.0000) [2 per cell]

Principal peaks in the range 10° ≤ 2θ ≤ 90°, in order of rising 2θ:
hkl 1 1 0, 5.503 Å, 2θ = 16.11°, intensity 100
hkl 0 2 0, 4.425 Å, 2θ = 20.06°, intensity 69
hkl 2 2 0, 2.752 Å, 2θ = 32.54°, intensity 15
hkl 1 3 0, 2.720 Å, 2θ = 32.93°, intensity 28
hkl 1 1 2, 2.478 Å, 2θ = 36.26°, intensity 57
hkl 3 1 0, 2.264 Å, 2θ = 39.81°, intensity 32
hkl 2 0 -2, 2.178 Å, 2θ = 41.47°, intensity 29
hkl 2 2 -2, 1.954 Å, 2θ = 46.47°, intensity 33
hkl 1 3 2, 1.942 Å, 2θ = 46.77°, intensity 20
hkl 2 4 -2, 1.552 Å, 2θ = 59.56°, intensity 17

=====

For LaNd2Fe2B2N3, DFT lattice parameters and positions (PBE) gives the simulated powder XRD pattern in this record (Cu Kα X-rays).
Intensities are scaled so that the largest is 100.

Atomic structure:
a = 3.6075 Å, b = 3.6075 Å, c = 20.9615 Å
α = 90.00°, β = 90.00°, γ = 90.00°
Space group I4/mmm (No. 139)
One atom of each set of equivalent atoms:
La (0.0000, 0.0000, 0.0000) [2 per cell]
Nd (0.0000, 0.0000, 0.3730) [4 per cell]
Fe (0.0000, 0.5000, 0.2500) [4 per cell]
B (0.0000, 0.0000, 0.1906) [4 per cell]
N (0.0000, 0.0000, 0.1208) [4 per cell]
N (0.0000, 0.0000, 0.5000) [2 per cell]

Principal peaks in the range 10° ≤ 2θ ≤ 90°, in order of rising 2θ:
hkl 1 0 3, 3.205 Å, 2θ = 27.83°, intensity 100
hkl 1 0 5, 2.734 Å, 2θ = 32.75°, intensity 69
hkl 0 0 8, 2.620 Å, 2θ = 34.22°, intensity 52
hkl 1 1 0, 2.551 Å, 2θ = 35.18°, intensity 40
hkl 1 1 2, 2.479 Å, 2θ = 36.24°, intensity 35
hkl 1 1 4, 2.294 Å, 2θ = 39.28°, intensity 35
hkl 1 1 6, 2.060 Å, 2θ = 43.95°, intensity 28
hkl 2 0 0, 1.804 Å, 2θ = 50.60°, intensity 37
hkl 2 1 3, 1.572 Å, 2θ = 58.74°, intensity 27
hkl 2 0 8, 1.486 Å, 2θ = 62.51°, intensity 35

=====

For NaHg3Te4Pb, DFT lattice parameters and positions (PBE) gives the simulated powder XRD pattern in this record (Cu Kα X-rays).
Intensities are scaled so that the largest is 100.

Atomic structure:
a = 7.0897 Å, b = 7.0897 Å, c = 7.0897 Å
α = 90.00°, β = 90.00°, γ = 90.00°
Space group P-43m (No. 215)
One atom of each set of equivalent atoms:
Na (0.0000, 0.0000, 0.0000) [1 per cell]
Hg (0.0000, 0.5000, 0.5000) [3 per cell]
Te (0.2505, 0.2505, 0.2505) [4 per cell]
Pb (0.5000, 0.5000, 0.5000) [1 per cell]

Principal peaks in the range 10° ≤ 2θ ≤ 90°, in order of rising 2θ:
hkl 1 0 0, 7.090 Å, 2θ = 12.49°, intensity 49
hkl 1 1 1, 4.093 Å, 2θ = 21.71°, intensity 57
hkl 2 1 0, 3.171 Å, 2θ = 28.14°, intensity 30
hkl 2 2 0, 2.507 Å, 2θ = 35.82°, intensity 100
hkl 2 2 1, 2.363 Å, 2θ = 38.08°, intensity 18
hkl 3 1 1, 2.138 Å, 2θ = 42.28°, intensity 30
hkl 4 0 0, 1.772 Å, 2θ = 51.56°, intensity 18
hkl 3 3 1, 1.626 Å, 2θ = 56.59°, intensity 13
hkl 4 2 2, 1.447 Å, 2θ = 64.38°, intensity 37
hkl 6 2 0, 1.121 Å, 2θ = 86.90°, intensity 17